Cs4Zr3Se14: computed powder X-ray diffraction pattern (Cu Kα (weighted mean of Kα1 and Kα2)), based on DFT lattice parameters and positions (GGA-PBE).
Kinematic intensities with the Lorentz-polarization factor, no thermal factor.

```
data_Cs4Zr3Se14
_symmetry_space_group_name_H-M 'C 1 2/c 1'
_symmetry_Int_Tables_number 15
_cell_length_a 23.1618
_cell_length_b 9.0501
_cell_length_c 15.1248
_cell_angle_alpha 90.00
_cell_angle_beta 112.43
_cell_angle_gamma 90.00
loop_
_symmetry_equiv_pos_as_xyz
'x,y,z'
'-x,-y,-z'
'-x,y,-z+1/2'
'x,-y,z+1/2'
'x+1/2,y+1/2,z'
'-x+1/2,-y+1/2,-z'
'-x+1/2,y+1/2,-z+1/2'
'x+1/2,-y+1/2,z+1/2'
loop_
_atom_site_label
_atom_site_fract_x
_atom_site_fract_y
_atom_site_fract_z
Cs1 0.0658 0.2489 0.1484
Cs2 0.1986 0.3195 0.6052
Zr1 0.0000 0.2601 0.7500
Zr2 0.1677 0.2571 0.9145
Se1 0.0370 0.3316 0.6043
Se2 0.0640 0.1004 0.9174
Se3 0.0812 0.4836 0.8657
Se4 0.1003 0.1452 0.7226
Se5 0.1459 0.0415 0.3905
Se6 0.1749 0.4838 0.3343
Se7 0.2187 0.2839 0.0989
```

Largest 12 diffraction maxima, sorted by position, 10 to 90 degrees two-theta:
| 2theta | I (rel.) |
| --- | --- |
| 11.5 | 75.3 |
| 12.2 | 40.1 |
| 19.6 | 25.7 |
| 20.8 | 25.9 |
| 23.3 | 36.6 |
| 25.5 | 67.7 |
| 26.5 | 100.0 |
| 30.6 | 29.7 |
| 31.9 | 37.3 |
| 32.2 | 32.9 |
| 33.5 | 32.7 |
| 47.4 | 32.1 |

ThInGe2Ir5: computed powder X-ray diffraction pattern (Cu Kα (weighted mean of Kα1 and Kα2)), based on DFT lattice parameters and positions (GGA-PBE).
Kinematic intensities with the Lorentz-polarization factor, no thermal factor.

```
data_ThInGe2Ir5
_symmetry_space_group_name_H-M 'P 4/m m m'
_symmetry_Int_Tables_number 123
_symmetry_space_group_name_Hall '-P 4 2'
_cell_length_a 3.9805
_cell_length_b 3.9805
_cell_length_c 11.5965
_cell_angle_alpha 90.00
_cell_angle_beta 90.00
_cell_angle_gamma 90.00
loop_
_atom_site_label
_atom_site_fract_x
_atom_site_fract_y
_atom_site_fract_z
Th1 0.0000 0.0000 0.0000
In1 0.0000 0.0000 0.5000
Ge1 0.5000 0.5000 0.2106
Ir1 0.0000 0.5000 0.3325
Ir2 0.5000 0.5000 0.0000
```

Largest 12 diffraction maxima, sorted by position, 10 to 90 degrees two-theta:
| 2theta | I (rel.) |
| --- | --- |
| 23.0 | 100.0 |
| 32.7 | 92.2 |
| 35.5 | 91.5 |
| 39.6 | 35.0 |
| 44.9 | 74.3 |
| 45.6 | 77.0 |
| 47.0 | 27.7 |
| 51.0 | 37.7 |
| 51.7 | 47.5 |
| 66.4 | 25.2 |
| 67.6 | 37.9 |
| 83.8 | 25.1 |

Nd2TeH2Se: computed powder X-ray diffraction pattern (Cu Kα (weighted mean of Kα1 and Kα2)), based on DFT lattice parameters and positions (GGA-PBE).
Kinematic intensities with the Lorentz-polarization factor, no thermal factor.

```
data_Nd2TeH2Se
_symmetry_space_group_name_H-M 'P -3 m 1'
_symmetry_Int_Tables_number 164
_symmetry_space_group_name_Hall '-P 3 2"'
_cell_length_a 4.0723
_cell_length_b 4.0723
_cell_length_c 8.3639
_cell_angle_alpha 90.00
_cell_angle_beta 90.00
_cell_angle_gamma 120.00
loop_
_atom_site_label
_atom_site_fract_x
_atom_site_fract_y
_atom_site_fract_z
Nd1 0.3333 0.6667 0.2356
Te1 0.0000 0.0000 0.5000
H1 0.3333 0.6667 0.7578
Se1 0.0000 0.0000 0.0000
```

Largest 12 diffraction maxima, sorted by position, 10 to 90 degrees two-theta:
| 2theta | I (rel.) |
| --- | --- |
| 27.4 | 85.7 |
| 33.2 | 100.0 |
| 41.3 | 25.6 |
| 43.3 | 14.8 |
| 44.5 | 44.2 |
| 53.1 | 14.0 |
| 56.6 | 21.4 |
| 61.3 | 8.6 |
| 63.8 | 27.6 |
| 71.7 | 11.4 |
| 73.0 | 10.2 |
| 74.7 | 18.7 |

Ca4InSn: computed powder X-ray diffraction pattern (Cu Kα (weighted mean of Kα1 and Kα2)), based on DFT lattice parameters and positions (GGA-PBE).
Kinematic intensities with the Lorentz-polarization factor, no thermal factor.

```
data_Ca4InSn
_symmetry_space_group_name_H-M 'C 1 2/m 1'
_symmetry_Int_Tables_number 12
_cell_length_a 9.2981
_cell_length_b 5.3265
_cell_length_c 9.0841
_cell_angle_alpha 90.00
_cell_angle_beta 110.24
_cell_angle_gamma 90.00
loop_
_symmetry_equiv_pos_as_xyz
'x,y,z'
'-x,-y,-z'
'-x,y,-z'
'x,-y,z'
'x+1/2,y+1/2,z'
'-x+1/2,-y+1/2,-z'
'-x+1/2,y+1/2,-z'
'x+1/2,-y+1/2,z'
loop_
_atom_site_label
_atom_site_fract_x
_atom_site_fract_y
_atom_site_fract_z
Ca1 0.1250 0.0000 0.3743
Ca2 0.2103 0.5000 0.1291
In1 0.0000 0.5000 0.5000
Sn1 0.0000 0.0000 0.0000
```

Largest 12 diffraction maxima, sorted by position, 10 to 90 degrees two-theta:
| 2theta | I (rel.) |
| --- | --- |
| 20.4 | 80.2 |
| 20.8 | 53.2 |
| 23.6 | 28.1 |
| 23.8 | 55.7 |
| 26.0 | 34.5 |
| 33.5 | 100.0 |
| 33.7 | 49.2 |
| 34.1 | 70.0 |
| 39.7 | 31.0 |
| 39.9 | 40.4 |
| 40.4 | 33.9 |
| 60.1 | 26.1 |

AcLa3Tm8: computed powder X-ray diffraction pattern (Cu Kα (weighted mean of Kα1 and Kα2)), based on DFT lattice parameters and positions (GGA-PBE).
Kinematic intensities with the Lorentz-polarization factor, no thermal factor.

```
data_AcLa3Tm8
_symmetry_space_group_name_H-M 'I m m m'
_symmetry_Int_Tables_number 71
_symmetry_space_group_name_Hall '-I 2 2'
_cell_length_a 6.3391
_cell_length_b 11.4455
_cell_length_c 11.8221
_cell_angle_alpha 90.00
_cell_angle_beta 90.00
_cell_angle_gamma 90.00
loop_
_atom_site_label
_atom_site_fract_x
_atom_site_fract_y
_atom_site_fract_z
Ac1 0.0000 0.0000 0.0000
La1 0.0000 0.2466 0.5000
La2 0.0000 0.5000 0.0000
Tm1 0.0000 0.2505 0.1804
Tm2 0.2490 0.0000 0.2559
```

Largest 12 diffraction maxima, sorted by position, 10 to 90 degrees two-theta:
| 2theta | I (rel.) |
| --- | --- |
| 15.0 | 18.9 |
| 15.9 | 20.1 |
| 30.2 | 23.0 |
| 31.0 | 100.0 |
| 31.3 | 58.0 |
| 32.0 | 21.1 |
| 32.3 | 43.3 |
| 35.8 | 58.3 |
| 51.6 | 24.1 |
| 54.9 | 21.9 |
| 55.4 | 19.4 |
| 64.5 | 26.4 |

Er4HgBiC: computed powder X-ray diffraction pattern (Cu Kα (weighted mean of Kα1 and Kα2)), based on DFT lattice parameters and positions (GGA-PBE).
Kinematic intensities with the Lorentz-polarization factor, no thermal factor.

```
data_Er4HgBiC
_symmetry_space_group_name_H-M 'I 4 m m'
_symmetry_Int_Tables_number 107
_symmetry_space_group_name_Hall 'I 4 -2'
_cell_length_a 4.7837
_cell_length_b 4.7837
_cell_length_c 15.5841
_cell_angle_alpha 90.00
_cell_angle_beta 90.00
_cell_angle_gamma 90.00
loop_
_atom_site_label
_atom_site_fract_x
_atom_site_fract_y
_atom_site_fract_z
Er1 0.0000 0.0000 0.0000
Er2 0.0000 0.0000 0.3192
Er3 0.0000 0.5000 0.1528
Hg1 0.0000 0.0000 0.5193
Bi1 0.0000 0.0000 0.7980
C1 0.0000 0.0000 0.1616
```

Largest 12 diffraction maxima, sorted by position, 10 to 90 degrees two-theta:
| 2theta | I (rel.) |
| --- | --- |
| 11.4 | 7.8 |
| 26.3 | 22.0 |
| 28.8 | 57.1 |
| 34.5 | 23.5 |
| 35.1 | 100.0 |
| 37.6 | 58.3 |
| 52.0 | 29.6 |
| 54.2 | 20.4 |
| 61.4 | 8.3 |
| 62.5 | 13.1 |
| 66.0 | 30.4 |
| 66.3 | 32.5 |